# Tl2PtPb6
Computed PXRD pattern, Cu Kα, 1.54184 Å. Input: a crystal structure in Alexandria, relaxed with PBE.
Lines closer than 0.1° are merged.

Principal peaks in the range 10° ≤ 2θ ≤ 80°, by angle:
- 2.968 Å, intensity 33.6
- 2.880 Å, intensity 69.3
- 2.858 Å, intensity 100.0
- 2.703 Å, intensity 61.8
- 2.664 Å, intensity 86.6
- 2.610 Å, intensity 35.5
- 2.320 Å, intensity 29.1
- 2.308 Å, intensity 38.2
- 1.836 Å, intensity 28.3
- 1.511 Å, intensity 31.8

Structure:
```
data_Tl2PtPb6
_space_group_name_H-M_alt 'A m m 2'
_space_group_IT_number 38
_space_group_name_Hall 'A 2 -2'
_cell_length_a 3.671
_cell_length_b 15.663
_cell_length_c 9.292
_cell_angle_alpha 90.00
_cell_angle_beta 90.00
_cell_angle_gamma 90.00
loop_
_atom_site_label
_atom_site_type_symbol
_atom_site_fract_x
_atom_site_fract_y
_atom_site_fract_z
Tl1 Tl 0.000 0.171 0.000
Pt1 Pt 0.500 0.000 0.524
Pb1 Pb 0.000 0.000 0.763
Pb2 Pb 0.000 0.116 0.379
Pb3 Pb 0.500 0.000 0.129
Pb4 Pb 0.500 0.179 0.681
```

=====

# VPtPb
Computed PXRD pattern, Cu Kα, 1.54184 Å. Input: a crystal structure in Alexandria, relaxed with PBE.
Lines closer than 0.1° are merged.

Principal peaks in the range 10° ≤ 2θ ≤ 80°, by angle:
- 3.634 Å, intensity 57.7
- 2.908 Å, intensity 36.4
- 2.876 Å, intensity 42.9
- 2.709 Å, intensity 72.5
- 2.654 Å, intensity 49.8
- 2.610 Å, intensity 31.9
- 2.300 Å, intensity 37.7
- 2.280 Å, intensity 100.0
- 2.227 Å, intensity 32.2
- 2.160 Å, intensity 43.4

Structure:
```
data_VPtPb
_space_group_name_H-M_alt 'P 1'
_space_group_IT_number 1
_space_group_name_Hall 'P 1'
_cell_length_a 2.983
_cell_length_b 5.636
_cell_length_c 7.292
_cell_angle_alpha 85.38
_cell_angle_beta 89.92
_cell_angle_gamma 74.72
loop_
_atom_site_label
_atom_site_type_symbol
_atom_site_fract_x
_atom_site_fract_y
_atom_site_fract_z
V1 V 0.000 0.000 0.000
V2 V 0.304 0.389 0.035
Pt1 Pt 0.650 0.700 0.819
Pt2 Pt 0.870 0.256 0.311
Pb1 Pb 0.378 0.241 0.667
Pb2 Pb 0.612 0.772 0.355
```

=====

# Pu2Pb3
Computed PXRD pattern, Cu Kα, 1.54184 Å. Input: a crystal structure in Alexandria, relaxed with PBE.
Lines closer than 0.1° are merged.

Principal peaks in the range 10° ≤ 2θ ≤ 80°, by angle:
- 2.802 Å, intensity 100.0
- 2.616 Å, intensity 2.0
- 2.432 Å, intensity 35.2
- 2.417 Å, intensity 15.5
- 1.719 Å, intensity 12.6
- 1.714 Å, intensity 22.3
- 1.465 Å, intensity 29.3
- 1.459 Å, intensity 11.5
- 1.401 Å, intensity 11.6
- 1.216 Å, intensity 4.2

Structure:
```
data_Pu2Pb3
_space_group_name_H-M_alt 'P 4/m m m'
_space_group_IT_number 123
_space_group_name_Hall '-P 4 2'
_cell_length_a 3.439
_cell_length_b 3.439
_cell_length_c 24.174
_cell_angle_alpha 90.00
_cell_angle_beta 90.00
_cell_angle_gamma 90.00
loop_
_atom_site_label
_atom_site_type_symbol
_atom_site_fract_x
_atom_site_fract_y
_atom_site_fract_z
Pu1 Pu 0.000 0.000 0.097
Pu2 Pu 0.000 0.000 0.292
Pb1 Pb 0.000 0.000 0.500
Pb2 Pb 0.500 0.500 0.000
Pb3 Pb 0.500 0.500 0.195
Pb4 Pb 0.500 0.500 0.393
```

=====

# PuPb4
Computed PXRD pattern, Cu Kα, 1.54184 Å. Input: a crystal structure in Alexandria, relaxed with PBE.
Lines closer than 0.1° are merged.

Principal peaks in the range 10° ≤ 2θ ≤ 80°, by angle:
- 2.994 Å, intensity 36.2
- 2.879 Å, intensity 100.0
- 2.652 Å, intensity 48.4
- 2.556 Å, intensity 34.0
- 2.419 Å, intensity 57.9
- 1.742 Å, intensity 12.1
- 1.681 Å, intensity 15.6
- 1.677 Å, intensity 15.4
- 1.460 Å, intensity 26.9
- 1.412 Å, intensity 11.2

Structure:
```
data_PuPb4
_space_group_name_H-M_alt 'C 1 2/m 1'
_space_group_IT_number 12
_space_group_name_Hall '-C 2y'
_cell_length_a 25.789
_cell_length_b 6.778
_cell_length_c 3.485
_cell_angle_alpha 90.00
_cell_angle_beta 97.57
_cell_angle_gamma 90.00
loop_
_atom_site_label
_atom_site_type_symbol
_atom_site_fract_x
_atom_site_fract_y
_atom_site_fract_z
Pu1 Pu 0.156 0.000 0.406
Pb1 Pb 0.056 0.252 0.807
Pb2 Pb 0.152 0.500 0.403
Pb3 Pb 0.250 0.250 0.000
```

=====

# PuPb8
Computed PXRD pattern, Cu Kα, 1.54184 Å. Input: a crystal structure in Alexandria, relaxed with PBE.
Lines closer than 0.1° are merged.

Principal peaks in the range 10° ≤ 2θ ≤ 80°, by angle:
- 2.871 Å, intensity 100.0
- 2.543 Å, intensity 18.1
- 2.460 Å, intensity 33.0
- 1.768 Å, intensity 25.0
- 1.739 Å, intensity 11.9
- 1.524 Å, intensity 15.6
- 1.488 Å, intensity 28.7
- 1.436 Å, intensity 12.8
- 1.271 Å, intensity 2.2
- 1.230 Å, intensity 3.9

Structure:
```
data_PuPb8
_space_group_name_H-M_alt 'I 4/m m m'
_space_group_IT_number 139
_space_group_name_Hall '-I 4 2'
_cell_length_a 10.436
_cell_length_b 10.436
_cell_length_c 5.085
_cell_angle_alpha 90.00
_cell_angle_beta 90.00
_cell_angle_gamma 90.00
loop_
_atom_site_label
_atom_site_type_symbol
_atom_site_fract_x
_atom_site_fract_y
_atom_site_fract_z
Pu1 Pu 0.000 0.000 0.000
Pb1 Pb 0.000 0.332 0.000
Pb2 Pb 0.166 0.166 0.500
```

=====

# PuPb2Se3
Computed PXRD pattern, Cu Kα, 1.54184 Å. Input: a crystal structure in Alexandria, relaxed with PBE.
Lines closer than 0.1° are merged.

Principal peaks in the range 10° ≤ 2θ ≤ 80°, by angle:
- 3.836 Å, intensity 60.8
- 3.643 Å, intensity 75.0
- 3.355 Å, intensity 42.7
- 3.036 Å, intensity 80.9
- 2.775 Å, intensity 100.0
- 2.474 Å, intensity 32.8
- 2.332 Å, intensity 46.2
- 2.049 Å, intensity 84.6
- 1.918 Å, intensity 31.3
- 1.722 Å, intensity 31.6

Structure:
```
data_PuPb2Se3
_space_group_name_H-M_alt 'C m m m'
_space_group_IT_number 65
_space_group_name_Hall '-C 2 2'
_cell_length_a 6.072
_cell_length_b 14.845
_cell_length_c 4.181
_cell_angle_alpha 90.00
_cell_angle_beta 90.00
_cell_angle_gamma 90.00
loop_
_atom_site_label
_atom_site_type_symbol
_atom_site_fract_x
_atom_site_fract_y
_atom_site_fract_z
Pu1 Pu 0.000 0.000 0.000
Pb1 Pb 0.000 0.348 0.500
Se1 Se 0.000 0.138 0.500
Se2 Se 0.000 0.500 0.000
```

=====

# Sr3PuPb12
Computed PXRD pattern, Cu Kα, 1.54184 Å. Input: a crystal structure in Alexandria, relaxed with PBE.
Lines closer than 0.1° are merged.

Principal peaks in the range 10° ≤ 2θ ≤ 80°, by angle:
- 4.987 Å, intensity 3.1
- 3.526 Å, intensity 2.9
- 2.879 Å, intensity 100.0
- 2.494 Å, intensity 50.9
- 2.230 Å, intensity 1.8
- 2.036 Å, intensity 1.3
- 1.763 Å, intensity 36.3
- 1.504 Å, intensity 43.2
- 1.440 Å, intensity 12.5
- 1.247 Å, intensity 5.9

Structure:
```
data_Sr3PuPb12
_space_group_name_H-M_alt 'P 4/m m m'
_space_group_IT_number 123
_space_group_name_Hall '-P 4 2'
_cell_length_a 4.987
_cell_length_b 4.987
_cell_length_c 19.949
_cell_angle_alpha 90.00
_cell_angle_beta 90.00
_cell_angle_gamma 90.00
loop_
_atom_site_label
_atom_site_type_symbol
_atom_site_fract_x
_atom_site_fract_y
_atom_site_fract_z
Sr1 Sr 0.000 0.000 0.000
Sr2 Sr 0.000 0.000 0.255
Pu1 Pu 0.000 0.000 0.500
Pb1 Pb 0.000 0.500 0.127
Pb2 Pb 0.000 0.500 0.381
Pb3 Pb 0.500 0.500 0.000
Pb4 Pb 0.500 0.500 0.253
Pb5 Pb 0.500 0.500 0.500
```

=====

# TbPuPb6
Computed PXRD pattern, Cu Kα, 1.54184 Å. Input: a crystal structure in Alexandria, relaxed with PBE.
Lines closer than 0.1° are merged.

Principal peaks in the range 10° ≤ 2θ ≤ 80°, by angle:
- 2.846 Å, intensity 56.8
- 2.714 Å, intensity 100.0
- 2.013 Å, intensity 21.6
- 1.837 Å, intensity 8.2
- 1.617 Å, intensity 43.6
- 1.544 Å, intensity 18.7
- 1.423 Å, intensity 7.2
- 1.357 Å, intensity 12.3
- 1.273 Å, intensity 10.2
- 1.260 Å, intensity 9.8

Structure:
```
data_TbPuPb6
_space_group_name_H-M_alt 'P 4/m m m'
_space_group_IT_number 123
_space_group_name_Hall '-P 4 2'
_cell_length_a 5.693
_cell_length_b 5.693
_cell_length_c 7.349
_cell_angle_alpha 90.00
_cell_angle_beta 90.00
_cell_angle_gamma 90.00
loop_
_atom_site_label
_atom_site_type_symbol
_atom_site_fract_x
_atom_site_fract_y
_atom_site_fract_z
Tb1 Tb 0.000 0.000 0.000
Pu1 Pu 0.000 0.000 0.500
Pb1 Pb 0.000 0.500 0.245
Pb2 Pb 0.500 0.500 0.000
Pb3 Pb 0.500 0.500 0.500
```